# 1
Diffraction record for AgSn5Pd3. The PXRD pattern is theoretical, not measured: it uses a crystal structure in OQMD, relaxed with PBE and Cu Kα X-rays.
Intensities are scaled so that the largest is 100.

Main lines, most intense first (2θ from 15° to 90°):
2θ = 44.53°, I = 100, (2 0 2); 2θ = 32.29°, I = 81, (1 1 0); 2θ = 29.83°, I = 53, (1 0 2); 2θ = 39.32°, I = 44, (2 0 1); 2θ = 35.14°, I = 33, (0 0 3); 2θ = 67.57°, I = 29, (2 2 0); 2θ = 34.40°, I = 25, (1 1 1); 2θ = 39.98°, I = 23, (1 0 3)

Atomic structure:
```
data_AgSn5Pd3
_symmetry_space_group_name_H-M 'P 6/m m m'
_symmetry_Int_Tables_number 191
_symmetry_space_group_name_Hall '-P 6 2'
_cell_length_a 5.5455
_cell_length_b 5.5455
_cell_length_c 7.6622
_cell_angle_alpha 90.00
_cell_angle_beta 90.00
_cell_angle_gamma 120.00
loop_
_atom_site_label
_atom_site_fract_x
_atom_site_fract_y
_atom_site_fract_z
Ag1 0.0000 0.0000 0.0000
Sn1 0.0000 0.0000 0.5000
Sn2 0.3333 0.6667 0.1956
Pd1 0.0000 0.5000 0.5000
```

# 2
Diffraction record for Sr2AgPd2. The PXRD pattern is theoretical, not measured: it uses a crystal structure in OQMD, relaxed with PBE and Cu Kα X-rays.
Intensities are scaled so that the largest is 100.

Main lines, most intense first (2θ from 15° to 90°):
2θ = 35.17°, I = 100, (1 1 -3); 2θ = 38.67°, I = 56, (2 2 1); 2θ = 32.48°, I = 40, (0 2 1); 2θ = 33.86°, I = 34, (3 1 -2); 2θ = 37.31°, I = 32, (4 0 -2); 2θ = 35.92°, I = 30, (2 2 -1); 2θ = 31.49°, I = 29, (2 0 2); 2θ = 17.60°, I = 27, (1 1 0)

Atomic structure:
```
data_Sr2AgPd2
_symmetry_space_group_name_H-M 'C 1 2/c 1'
_symmetry_Int_Tables_number 15
_cell_length_a 10.2584
_cell_length_b 5.8494
_cell_length_c 8.5114
_cell_angle_alpha 90.00
_cell_angle_beta 104.49
_cell_angle_gamma 90.00
loop_
_symmetry_equiv_pos_as_xyz
'x,y,z'
'-x,-y,-z'
'-x,y,-z+1/2'
'x,-y,z+1/2'
'x+1/2,y+1/2,z'
'-x+1/2,-y+1/2,-z'
'-x+1/2,y+1/2,-z+1/2'
'x+1/2,-y+1/2,z+1/2'
loop_
_atom_site_label
_atom_site_fract_x
_atom_site_fract_y
_atom_site_fract_z
Sr1 0.1492 0.1454 0.1502
Ag1 0.0000 0.3458 0.7500
Pd1 0.1335 0.3631 0.5023
```

# 3
Diffraction record for Ag2Te9Pd14. The PXRD pattern is theoretical, not measured: it uses a crystal structure in OQMD, relaxed with PBE and Cu Kα X-rays.
Intensities are scaled so that the largest is 100.

Main lines, most intense first (2θ from 15° to 90°):
2θ = 43.86°, I = 100, (3 1 4); 2θ = 31.55°, I = 81, (2 1 3); 2θ = 44.82°, I = 58, (2 4 0); 2θ = 34.79°, I = 58, (3 1 2); 2θ = 31.28°, I = 50, (3 1 0); 2θ = 41.87°, I = 45, (4 1 1); 2θ = 42.62°, I = 40, (2 3 3); 2θ = 36.61°, I = 34, (2 3 1)

Atomic structure:
```
data_Ag2Te9Pd14
_symmetry_space_group_name_H-M 'I 4/m'
_symmetry_Int_Tables_number 87
_symmetry_space_group_name_Hall '-I 4'
_cell_length_a 9.0440
_cell_length_b 9.0440
_cell_length_c 11.9285
_cell_angle_alpha 90.00
_cell_angle_beta 90.00
_cell_angle_gamma 90.00
loop_
_atom_site_label
_atom_site_fract_x
_atom_site_fract_y
_atom_site_fract_z
Ag1 0.0000 0.0000 0.1890
Te1 0.0000 0.0000 0.5000
Te2 0.1261 0.6897 0.1477
Pd1 0.0000 0.5000 0.0000
Pd2 0.0728 0.7769 0.3618
Pd3 0.0937 0.2041 0.0000
```

# 4
Diffraction record for Pm2Pr3Ag3. The PXRD pattern is theoretical, not measured: it uses a crystal structure in OQMD, relaxed with PBE and Cu Kα X-rays.
Intensities are scaled so that the largest is 100.

Main lines, most intense first (2θ from 15° to 90°):
2θ = 31.41°, I = 100, (1 1 2); 2θ = 41.55°, I = 53, (2 0 0); 2θ = 23.58°, I = 52, (0 0 4); 2θ = 21.27°, I = 44, (1 0 1); 2θ = 34.17°, I = 43, (1 1 3); 2θ = 55.87°, I = 34, (2 0 6); 2θ = 35.64°, I = 31, (0 0 6); 2θ = 29.05°, I = 28, (1 1 0)

Atomic structure:
```
data_Pm2Pr3Ag3
_symmetry_space_group_name_H-M 'P -4 m 2'
_symmetry_Int_Tables_number 115
_cell_length_a 4.3473
_cell_length_b 4.3473
_cell_length_c 15.1155
_cell_angle_alpha 90.00
_cell_angle_beta 90.00
_cell_angle_gamma 90.00
loop_
_symmetry_equiv_pos_as_xyz
'x,y,z'
'y,-x,-z'
'-x,-y,z'
'-y,x,-z'
'-x,y,z'
'-y,-x,-z'
'x,-y,z'
'y,x,-z'
loop_
_atom_site_label
_atom_site_fract_x
_atom_site_fract_y
_atom_site_fract_z
Pm1 0.0000 0.5000 0.1916
Pr1 0.0000 0.0000 0.0000
Pr2 0.5000 0.5000 0.0000
Pr3 0.5000 0.5000 0.5000
Ag1 0.0000 0.0000 0.3269
Ag2 0.0000 0.0000 0.5000
```

# 5
Diffraction record for PmSi2Ag2. The PXRD pattern is theoretical, not measured: it uses a crystal structure in OQMD, relaxed with PBE and Cu Kα X-rays.
Intensities are scaled so that the largest is 100.

Main lines, most intense first (2θ from 15° to 90°):
2θ = 34.43°, I = 100, (1 1 2); 2θ = 42.85°, I = 34, (2 0 0); 2θ = 32.93°, I = 23, (1 0 3); 2θ = 73.07°, I = 21, (3 1 2); 2θ = 22.65°, I = 20, (1 0 1); 2θ = 33.60°, I = 19, (0 0 4); 2θ = 55.52°, I = 17, (2 0 4); 2θ = 60.61°, I = 15, (1 1 6)

Atomic structure:
```
data_PmSi2Ag2
_symmetry_space_group_name_H-M 'I 4/m m m'
_symmetry_Int_Tables_number 139
_symmetry_space_group_name_Hall '-I 4 2'
_cell_length_a 4.2211
_cell_length_b 4.2211
_cell_length_c 10.6697
_cell_angle_alpha 90.00
_cell_angle_beta 90.00
_cell_angle_gamma 90.00
loop_
_atom_site_label
_atom_site_fract_x
_atom_site_fract_y
_atom_site_fract_z
Pm1 0.0000 0.0000 0.0000
Si1 0.0000 0.0000 0.3915
Ag1 0.0000 0.5000 0.2500
```

# 6
Diffraction record for PmTlAg4. The PXRD pattern is theoretical, not measured: it uses a crystal structure in OQMD, relaxed with PBE and Cu Kα X-rays.
Intensities are scaled so that the largest is 100.

Main lines, most intense first (2θ from 15° to 90°):
2θ = 37.38°, I = 100, (3 1 1); 2θ = 31.72°, I = 42, (2 2 0); 2θ = 60.28°, I = 32, (5 1 1); 2θ = 39.11°, I = 27, (2 2 2); 2θ = 66.27°, I = 26, (4 4 0); 2θ = 56.51°, I = 17, (4 2 2); 2θ = 78.64°, I = 11, (5 3 3); 2θ = 79.73°, I = 9, (6 2 2)

Atomic structure:
```
data_PmTlAg4
_symmetry_space_group_name_H-M 'F -4 3 m'
_symmetry_Int_Tables_number 216
_symmetry_space_group_name_Hall 'F -4 2 3'
_cell_length_a 7.9782
_cell_length_b 7.9782
_cell_length_c 7.9782
_cell_angle_alpha 90.00
_cell_angle_beta 90.00
_cell_angle_gamma 90.00
loop_
_atom_site_label
_atom_site_fract_x
_atom_site_fract_y
_atom_site_fract_z
Pm1 0.0000 0.0000 0.0000
Tl1 0.2500 0.2500 0.7500
Ag1 0.1250 0.1250 0.3750
```

# 7
Diffraction record for PmZnAg. The PXRD pattern is theoretical, not measured: it uses a crystal structure in OQMD, relaxed with PBE and Cu Kα X-rays.
Intensities are scaled so that the largest is 100.

Main lines, most intense first (2θ from 15° to 90°):
2θ = 33.90°, I = 100, (1 0 1); 2θ = 38.14°, I = 68, (1 1 0); 2θ = 51.94°, I = 29, (2 0 1); 2θ = 66.24°, I = 28, (2 1 1); 2θ = 66.98°, I = 25, (1 1 2); 2θ = 68.93°, I = 11, (3 0 0); 2θ = 21.75°, I = 11, (1 0 0); 2θ = 52.80°, I = 9, (0 0 2)

Atomic structure:
```
data_PmZnAg
_symmetry_space_group_name_H-M 'P -6 m 2'
_symmetry_Int_Tables_number 187
_symmetry_space_group_name_Hall 'P -6 2'
_cell_length_a 4.7190
_cell_length_b 4.7190
_cell_length_c 3.4678
_cell_angle_alpha 90.00
_cell_angle_beta 90.00
_cell_angle_gamma 120.00
loop_
_atom_site_label
_atom_site_fract_x
_atom_site_fract_y
_atom_site_fract_z
Pm1 0.0000 0.0000 0.0000
Zn1 0.6667 0.3333 0.5000
Ag1 0.3333 0.6667 0.5000
```

# 8
Diffraction record for Pm3Zn8Ag3. The PXRD pattern is theoretical, not measured: it uses a crystal structure in OQMD, relaxed with PBE and Cu Kα X-rays.
Intensities are scaled so that the largest is 100.

Main lines, most intense first (2θ from 15° to 90°):
2θ = 34.66°, I = 100, (1 2 3); 2θ = 40.16°, I = 35, (2 0 0); 2θ = 36.22°, I = 32, (1 3 0); 2θ = 38.69°, I = 23, (1 3 2); 2θ = 40.05°, I = 19, (0 0 6); 2θ = 69.45°, I = 12, (3 2 3); 2θ = 33.28°, I = 12, (0 2 4); 2θ = 58.01°, I = 12, (2 0 6)

Atomic structure:
```
data_Pm3Zn8Ag3
_symmetry_space_group_name_H-M 'I m m m'
_symmetry_Int_Tables_number 71
_symmetry_space_group_name_Hall '-I 2 2'
_cell_length_a 4.4905
_cell_length_b 8.9204
_cell_length_c 13.5088
_cell_angle_alpha 90.00
_cell_angle_beta 90.00
_cell_angle_gamma 90.00
loop_
_atom_site_label
_atom_site_fract_x
_atom_site_fract_y
_atom_site_fract_z
Pm1 0.0000 0.0000 0.0000
Pm2 0.0000 0.0000 0.2996
Zn1 0.0000 0.2790 0.1378
Zn2 0.0000 0.3605 0.3315
Ag1 0.0000 0.2072 0.5000
Ag2 0.0000 0.5000 0.0000
```

# 9
Diffraction record for PrAgS2. The PXRD pattern is theoretical, not measured: it uses a crystal structure in OQMD, relaxed with PBE and Cu Kα X-rays.
Intensities are scaled so that the largest is 100.

Main lines, most intense first (2θ from 15° to 90°):
2θ = 23.07°, I = 100, (1 1 1); 2θ = 30.03°, I = 76, (2 1 -1); 2θ = 40.16°, I = 62, (1 3 -1); 2θ = 32.82°, I = 54, (1 1 2); 2θ = 35.05°, I = 49, (0 2 2); 2θ = 26.50°, I = 46, (1 0 -2); 2θ = 29.31°, I = 33, (1 2 -1); 2θ = 36.04°, I = 31, (2 2 0)

Atomic structure:
```
data_PrAgS2
_symmetry_space_group_name_H-M 'P 1 21/c 1'
_symmetry_Int_Tables_number 14
_cell_length_a 6.8097
_cell_length_b 7.4317
_cell_length_c 7.1629
_cell_angle_alpha 90.00
_cell_angle_beta 99.50
_cell_angle_gamma 90.00
loop_
_symmetry_equiv_pos_as_xyz
'x,y,z'
'-x,-y,-z'
'-x,y+1/2,-z+1/2'
'x,-y+1/2,z+1/2'
loop_
_atom_site_label
_atom_site_fract_x
_atom_site_fract_y
_atom_site_fract_z
Pr1 0.1941 0.0497 0.2994
Ag1 0.4053 0.6644 0.4493
S1 0.0594 0.7327 0.5046
S2 0.4019 0.1081 0.7035
```

# 10
Diffraction record for SrPrAgSeS2. The PXRD pattern is theoretical, not measured: it uses a crystal structure in OQMD, relaxed with PBE and Cu Kα X-rays.
Intensities are scaled so that the largest is 100.

Main lines, most intense first (2θ from 15° to 90°):
2θ = 33.39°, I = 100, (1 3 2); 2θ = 30.15°, I = 50, (1 3 1); 2θ = 32.72°, I = 37, (0 0 4); 2θ = 42.64°, I = 34, (1 5 2); 2θ = 27.79°, I = 30, (1 1 2); 2θ = 43.78°, I = 23, (2 0 0); 2θ = 55.71°, I = 16, (2 0 4); 2θ = 42.10°, I = 16, (0 4 4)

Atomic structure:
```
data_SrPrAgSeS2
_symmetry_space_group_name_H-M 'C m c m'
_symmetry_Int_Tables_number 63
_symmetry_space_group_name_Hall '-C 2c 2'
_cell_length_a 4.1358
_cell_length_b 13.8386
_cell_length_c 10.9470
_cell_angle_alpha 90.00
_cell_angle_beta 90.00
_cell_angle_gamma 90.00
loop_
_atom_site_label
_atom_site_fract_x
_atom_site_fract_y
_atom_site_fract_z
Sr1 0.0000 0.2313 0.2500
Pr1 0.0000 0.0000 0.0000
Ag1 0.0000 0.4808 0.7500
Se1 0.0000 0.1015 0.7500
S1 0.0000 0.3653 0.5711
```

# 11
Diffraction record for PrYAg2Sb4. The PXRD pattern is theoretical, not measured: it uses a crystal structure in OQMD, relaxed with PBE and Cu Kα X-rays.
Intensities are scaled so that the largest is 100.

Main lines, most intense first (2θ from 15° to 90°):
2θ = 33.54°, I = 100, (1 1 2); 2θ = 41.17°, I = 35, (2 0 0); 2θ = 70.19°, I = 22, (3 1 2); 2θ = 54.46°, I = 14, (2 0 4); 2θ = 26.45°, I = 14, (1 0 2); 2θ = 34.05°, I = 14, (0 0 4); 2θ = 59.64°, I = 11, (2 2 0); 2θ = 39.94°, I = 9, (1 0 4)

Atomic structure:
```
data_PrYAg2Sb4
_symmetry_space_group_name_H-M 'P 4 m m'
_symmetry_Int_Tables_number 99
_cell_length_a 4.3848
_cell_length_b 4.3848
_cell_length_c 10.5308
_cell_angle_alpha 90.00
_cell_angle_beta 90.00
_cell_angle_gamma 90.00
loop_
_symmetry_equiv_pos_as_xyz
'x,y,z'
'-y,x,z'
'-x,-y,z'
'y,-x,z'
'-x,y,z'
'y,x,z'
'x,-y,z'
'-y,-x,z'
loop_
_atom_site_label
_atom_site_fract_x
_atom_site_fract_y
_atom_site_fract_z
Pr1 0.0000 0.0000 0.0000
Y1 0.5000 0.5000 0.5248
Ag1 0.0000 0.5000 0.2686
Sb1 0.0000 0.0000 0.4485
Sb2 0.0000 0.5000 0.7576
Sb3 0.5000 0.5000 0.0881
```

# 12
Diffraction record for PrScAg2Sn2. The PXRD pattern is theoretical, not measured: it uses a crystal structure in OQMD, relaxed with PBE and Cu Kα X-rays.
Intensities are scaled so that the largest is 100.

Main lines, most intense first (2θ from 15° to 90°):
2θ = 32.76°, I = 100, (0 1 2); 2θ = 38.21°, I = 92, (1 1 0); 2θ = 24.95°, I = 31, (0 1 1); 2θ = 51.19°, I = 28, (2 0 2); 2θ = 65.64°, I = 26, (1 2 2); 2θ = 43.00°, I = 19, (1 0 3); 2θ = 64.21°, I = 18, (1 1 4); 2θ = 69.07°, I = 16, (3 0 0)

Atomic structure:
```
data_PrScAg2Sn2
_symmetry_space_group_name_H-M 'P 3 m 1'
_symmetry_Int_Tables_number 156
_cell_length_a 4.7110
_cell_length_b 4.7110
_cell_length_c 7.3638
_cell_angle_alpha 90.00
_cell_angle_beta 90.00
_cell_angle_gamma 120.00
loop_
_symmetry_equiv_pos_as_xyz
'x,y,z'
'-y,x-y,z'
'-x+y,-x,z'
'-y,-x,z'
'-x+y,y,z'
'x,x-y,z'
loop_
_atom_site_label
_atom_site_fract_x
_atom_site_fract_y
_atom_site_fract_z
Pr1 0.0000 0.0000 0.0000
Sc1 0.0000 0.0000 0.5020
Ag1 0.3333 0.6667 0.6790
Ag2 0.6667 0.3333 0.2268
Sn1 0.3333 0.6667 0.2903
Sn2 0.6667 0.3333 0.7638
```

# 13
Diffraction record for Pr3SiAgSe7. The PXRD pattern is theoretical, not measured: it uses a crystal structure in OQMD, relaxed with PBE and Cu Kα X-rays.
Intensities are scaled so that the largest is 100.

Main lines, most intense first (2θ from 15° to 90°):
2θ = 34.62°, I = 100, (1 3 0); 2θ = 29.23°, I = 85, (0 0 2); 2θ = 39.01°, I = 75, (1 2 2); 2θ = 33.22°, I = 75, (2 2 0); 2θ = 30.82°, I = 73, (1 0 2); 2θ = 32.27°, I = 49, (3 0 1); 2θ = 44.84°, I = 47, (2 2 2); 2θ = 37.72°, I = 41, (3 1 1)

Atomic structure:
```
data_Pr3SiAgSe7
_symmetry_space_group_name_H-M 'P 63'
_symmetry_Int_Tables_number 173
_cell_length_a 10.7874
_cell_length_b 10.7874
_cell_length_c 6.1047
_cell_angle_alpha 90.00
_cell_angle_beta 90.00
_cell_angle_gamma 120.00
loop_
_symmetry_equiv_pos_as_xyz
'x,y,z'
'x-y,x,z+1/2'
'-y,x-y,z'
'-x,-y,z+1/2'
'-x+y,-x,z'
'y,-x+y,z+1/2'
loop_
_atom_site_label
_atom_site_fract_x
_atom_site_fract_y
_atom_site_fract_z
Pr1 0.1269 0.3577 0.0000
Si1 0.3333 0.6667 0.4104
Ag1 0.0000 0.0000 0.0525
Se1 0.0960 0.2709 0.5175
Se2 0.1086 0.5863 0.2605
Se3 0.3333 0.6667 0.7832
```